GeIBr4: calculated X-ray powder pattern (Cu Kα (weighted mean of Kα1 and Kα2)), based on a GGA-PBE-relaxed structure.
Neutral-atom scattering factors, no anomalous dispersion.

```
6
Lattice="6.456 0.000 0.000 -0.473 7.090 0.000 -1.988 -1.480 6.725" Properties=species:S:1:pos:R:3 pbc="T T T"
Ge 0.000 0.000 0.000
I 2.874 3.307 3.312
Br -1.214 4.383 5.123
Br 1.565 0.898 1.477
Br 3.361 0.203 5.607
Br 4.580 5.629 1.104
```

Largest 10 diffraction maxima, low angle first, 5 to 70 degrees two-theta:
index  2θ/deg  d (Å)  I (rel.)
1 0 0  14.4  6.153  47
0 1 -1  16.3  5.444  100
1 0 -1  16.4  5.405  92
1 -1 0  18.0  4.917  83
0 1 1  20.3  4.381  62
-1 1 1  21.5  4.138  65
1 1 -2  27.4  3.252  61
1 1 1  28.1  3.180  87
1 -2 1  30.4  2.936  41
2 0 1  35.5  2.530  39